Entry 1:
Structure and computed PXRD pattern of CsSiBiS4 (the PBE geometry in the Materials Project; Cu Ka).

Largest 8 diffraction maxima, sorted by position, 2θ from 10° to 80°:
2theta, Rel. int.
18.92, 100
23.33, 47
23.95, 45
27.78, 40
29.35, 49
30.53, 38
31.99, 45
41.99, 33

Structure:
a b c (Å): 9.4975 7.1273 13.1058
angles (deg): 90.00 108.09 90.00
Sites, in units of the cell vectors:
Cs  0.0733  0.2393  0.3952
Cs  0.0733  0.2607  0.8952
Cs  0.9267  0.7393  0.1048
Cs  0.9267  0.7607  0.6048
Si  0.3240  0.7353  0.3466
Si  0.3240  0.7647  0.8466
Si  0.6760  0.2353  0.1534
Si  0.6760  0.2647  0.6534
Bi  0.4457  0.6527  0.6293
Bi  0.4457  0.8473  0.1293
Bi  0.5543  0.1527  0.8707
Bi  0.5543  0.3473  0.3707
S  0.1938  0.7313  0.4523
S  0.1938  0.7687  0.9523
S  0.2862  0.5100  0.2358
S  0.2862  0.9900  0.7358
S  0.2909  0.5090  0.7574
S  0.2909  0.9910  0.2574
S  0.4435  0.2060  0.0584
S  0.4435  0.2940  0.5584
S  0.5565  0.7060  0.4416
S  0.5565  0.7940  0.9416
S  0.7091  0.0090  0.7426
S  0.7091  0.4910  0.2426
S  0.7138  0.0100  0.2642
S  0.7138  0.4900  0.7642
S  0.8062  0.2313  0.0477
S  0.8062  0.2687  0.5477

Entry 2:
Structure and computed PXRD pattern of K3SmAs2S8 (the PBE geometry in the Materials Project; Cu Ka).

Largest 8 diffraction maxima, sorted by position, 2θ from 10° to 80°:
2theta, Rel. int.
11.63, 100
19.28, 17
22.40, 22
26.55, 30
28.44, 18
28.97, 27
35.40, 17
38.39, 19

Structure:
a b c (Å): 10.9774 10.9774 9.0635
angles (deg): 102.90 102.90 122.38
Sites, in units of the cell vectors:
K  0.0000  0.0000  0.0000
K  0.0000  0.0000  0.5000
K  0.2393  0.7607  0.7500
K  0.4953  0.5047  0.7500
K  0.5047  0.4953  0.2500
K  0.7607  0.2393  0.2500
Sm  0.2572  0.7428  0.2500
Sm  0.7428  0.2572  0.7500
As  0.1572  0.4058  0.8972
As  0.4058  0.1572  0.3972
As  0.5942  0.8428  0.6028
As  0.8428  0.5942  0.1028
S  0.0033  0.3594  0.6556
S  0.0290  0.3746  0.0580
S  0.2336  0.2605  0.8720
S  0.2605  0.2336  0.3720
S  0.3428  0.6329  0.4792
S  0.3594  0.0033  0.1556
S  0.3671  0.6572  0.0208
S  0.3746  0.0290  0.5580
S  0.6254  0.9710  0.4420
S  0.6329  0.3428  0.9792
S  0.6406  0.9967  0.8444
S  0.6572  0.3671  0.5208
S  0.7395  0.7664  0.6280
S  0.7664  0.7395  0.1280
S  0.9710  0.6254  0.9420
S  0.9967  0.6406  0.3444